# 1
Computed XRD peak list of GeAsPd5 for Cu Kα (weighted mean of Kα1 and Kα2), from a DFT-relaxed cell (PBE, Alexandria).

Atomic structure:
```
data_GeAsPd5
_space_group_name_H-M_alt 'C 1 2/c 1'
_space_group_IT_number 15
_cell_length_a 9.717
_cell_length_b 8.443
_cell_length_c 7.720
_cell_angle_alpha 90.00
_cell_angle_beta 128.32
_cell_angle_gamma 90.00
loop_
_space_group_symop_operation_xyz
'x,y,z'
'-x,-y,-z'
'-x,y,-z+1/2'
'x,-y,z+1/2'
'x+1/2,y+1/2,z'
'-x+1/2,-y+1/2,-z'
'-x+1/2,y+1/2,-z+1/2'
'x+1/2,-y+1/2,z+1/2'
loop_
_atom_site_label
_atom_site_type_symbol
_atom_site_fract_x
_atom_site_fract_y
_atom_site_fract_z
_atom_site_occupancy
Ge1 Ge 0.000 0.242 0.250 1
As1 As 0.250 0.250 0.000 1
Pd1 Pd 0.000 0.055 0.750 1
Pd2 Pd 0.132 0.493 0.483 1
Pd3 Pd 0.206 0.184 0.648 1
```

Most intense lines, 2θ = 15–90°, in order of rising 2θ:
2θ 25.72, intensity 54, hkl 0 2 1; 2θ 36.99, intensity 100, hkl 4 0 -2; 2θ 39.70, intensity 62, hkl 1 1 2; 2θ 39.91, intensity 42, hkl 1 1 -3; 2θ 40.21, intensity 47, hkl 1 3 -2; 2θ 48.40, intensity 41, hkl 3 1 -4


# 2
Computed XRD peak list of Ti5VZn2 for Cu Kα (weighted mean of Kα1 and Kα2), from a DFT-relaxed cell (PBE, Alexandria).

Atomic structure:
```
data_Ti5VZn2
_space_group_name_H-M_alt 'I 4/m m m'
_space_group_IT_number 139
_space_group_name_Hall '-I 4 2'
_cell_length_a 3.977
_cell_length_b 3.977
_cell_length_c 16.192
_cell_angle_alpha 90.00
_cell_angle_beta 90.00
_cell_angle_gamma 90.00
loop_
_atom_site_label
_atom_site_type_symbol
_atom_site_fract_x
_atom_site_fract_y
_atom_site_fract_z
_atom_site_occupancy
Ti1 Ti 0.000 0.000 0.000 1
Ti2 Ti 0.000 0.500 0.125 1
V1 V 0.000 0.000 0.500 1
Zn1 Zn 0.000 0.000 0.250 1
```

Most intense lines, 2θ = 15–90°, in order of rising 2θ:
2θ 39.00, intensity 100, hkl 1 1 4; 2θ 44.78, intensity 16, hkl 0 0 8; 2θ 45.62, intensity 31, hkl 2 0 0; 2θ 65.84, intensity 19, hkl 2 0 8; 2θ 78.64, intensity 11, hkl 1 1 12; 2θ 79.86, intensity 21, hkl 3 1 4


# 3
Computed XRD peak list of Cs3NpCl4O2 for Cu Kα (weighted mean of Kα1 and Kα2), from a DFT-relaxed cell (PBE, Alexandria).

Atomic structure:
```
data_Cs3NpCl4O2
_space_group_name_H-M_alt 'C 1 2/c 1'
_space_group_IT_number 15
_cell_length_a 15.704
_cell_length_b 7.482
_cell_length_c 13.028
_cell_angle_alpha 90.00
_cell_angle_beta 117.50
_cell_angle_gamma 90.00
loop_
_space_group_symop_operation_xyz
'x,y,z'
'-x,-y,-z'
'-x,y,-z+1/2'
'x,-y,z+1/2'
'x+1/2,y+1/2,z'
'-x+1/2,-y+1/2,-z'
'-x+1/2,y+1/2,-z+1/2'
'x+1/2,-y+1/2,z+1/2'
loop_
_atom_site_label
_atom_site_type_symbol
_atom_site_fract_x
_atom_site_fract_y
_atom_site_fract_z
_atom_site_occupancy
Cs1 Cs 0.000 0.090 0.250 1
Cs2 Cs 0.153 0.318 0.631 1
Np1 Np 0.250 0.250 0.000 1
Cl1 Cl 0.094 0.186 0.041 1
Cl2 Cl 0.159 0.448 0.372 1
O1 O 0.197 0.114 0.866 1
```

Most intense lines, 2θ = 15–90°, in order of rising 2θ:
2θ 20.74, intensity 72, hkl 3 1 -1; 2θ 22.54, intensity 20, hkl 3 1 0; 2θ 24.10, intensity 100, hkl 1 1 -3; 2θ 29.72, intensity 45, hkl 4 0 -4; 2θ 36.80, intensity 21, hkl 6 0 -4; 2θ 44.28, intensity 25, hkl 1 1 5


# 4
Computed XRD peak list of Ba3Sn2Pb5 for Cu Kα (weighted mean of Kα1 and Kα2), from a DFT-relaxed cell (PBE, Alexandria).

Atomic structure:
```
data_Ba3Sn2Pb5
_space_group_name_H-M_alt 'I b a m'
_space_group_IT_number 72
_space_group_name_Hall '-I 2 2c'
_cell_length_a 14.329
_cell_length_b 14.629
_cell_length_c 7.394
_cell_angle_alpha 90.00
_cell_angle_beta 90.00
_cell_angle_gamma 90.00
loop_
_atom_site_label
_atom_site_type_symbol
_atom_site_fract_x
_atom_site_fract_y
_atom_site_fract_z
_atom_site_occupancy
Ba1 Ba 0.000 0.000 0.250 1
Ba2 Ba 0.233 0.374 0.000 1
Sn1 Sn 0.149 0.137 0.000 1
Pb1 Pb 0.000 0.252 0.250 1
Pb2 Pb 0.000 0.500 0.250 1
Pb3 Pb 0.141 0.374 0.500 1
```

Most intense lines, 2θ = 15–90°, in order of rising 2θ:
2θ 25.32, intensity 43, hkl 3 2 1; 2θ 27.14, intensity 92, hkl 2 0 2; 2θ 27.38, intensity 89, hkl 2 4 0; 2θ 34.49, intensity 100, hkl 0 4 2; 2θ 34.87, intensity 42, hkl 4 0 2; 2θ 35.78, intensity 50, hkl 5 2 1


# 5
Computed XRD peak list of NbPd2Pt6 for Cu Kα (weighted mean of Kα1 and Kα2), from a DFT-relaxed cell (PBE, Alexandria).

Atomic structure:
```
data_NbPd2Pt6
_space_group_name_H-M_alt 'C 1 2/m 1'
_space_group_IT_number 12
_cell_length_a 6.215
_cell_length_b 12.556
_cell_length_c 3.953
_cell_angle_alpha 90.00
_cell_angle_beta 108.29
_cell_angle_gamma 90.00
loop_
_space_group_symop_operation_xyz
'x,y,z'
'-x,-y,-z'
'-x,y,-z'
'x,-y,z'
'x+1/2,y+1/2,z'
'-x+1/2,-y+1/2,-z'
'-x+1/2,y+1/2,-z'
'x+1/2,-y+1/2,z'
loop_
_atom_site_label
_atom_site_type_symbol
_atom_site_fract_x
_atom_site_fract_y
_atom_site_fract_z
_atom_site_occupancy
Nb1 Nb 0.000 0.000 0.000 1
Pd1 Pd 0.000 0.159 0.500 1
Pt1 Pt 0.166 0.344 0.839 1
Pt2 Pt 0.179 0.500 0.342 1
```

Most intense lines, 2θ = 15–90°, in order of rising 2θ:
2θ 35.29, intensity 45, hkl 2 2 -1; 2θ 38.74, intensity 100, hkl 1 3 1; 2θ 43.23, intensity 34, hkl 0 6 0; 2θ 43.46, intensity 48, hkl 2 4 -1; 2θ 46.52, intensity 30, hkl 1 1 -2; 2θ 46.74, intensity 29, hkl 3 1 0


# 6
Computed XRD peak list of MnIrW for Cu Kα (weighted mean of Kα1 and Kα2), from a DFT-relaxed cell (PBE, Alexandria).

Atomic structure:
```
data_MnIrW
_space_group_name_H-M_alt 'P 63/m m c'
_space_group_IT_number 194
_space_group_name_Hall '-P 6c 2c'
_cell_length_a 4.2385
_cell_length_b 4.2385
_cell_length_c 5.3842
_cell_angle_alpha 90.00
_cell_angle_beta 90.00
_cell_angle_gamma 120.00
loop_
_atom_site_label
_atom_site_type_symbol
_atom_site_fract_x
_atom_site_fract_y
_atom_site_fract_z
_atom_site_occupancy
Mn1 Mn 0.3333 0.6667 0.2500 1
Ir1 Ir 0.3333 0.6667 0.7500 1
W1 W 0.0000 0.0000 0.0000 1
```

Most intense lines, 2θ = 15–90°, in order of rising 2θ:
2θ 29.45, intensity 36, hkl 1 0 1; 2θ 41.60, intensity 100, hkl 1 0 2; 2θ 42.66, intensity 92, hkl 1 1 0; 2θ 61.11, intensity 32, hkl 2 0 2; 2θ 77.38, intensity 33, hkl 2 1 2; 2θ 85.45, intensity 25, hkl 1 1 4


# 7
Computed XRD peak list of Ac8Co3NCl4 for Cu Kα (weighted mean of Kα1 and Kα2), from a DFT-relaxed cell (PBE, Alexandria).

Atomic structure:
```
data_Ac8Co3NCl4
_space_group_name_H-M_alt 'C 1 2/m 1'
_space_group_IT_number 12
_cell_length_a 14.487
_cell_length_b 8.170
_cell_length_c 9.289
_cell_angle_alpha 90.00
_cell_angle_beta 120.99
_cell_angle_gamma 90.00
loop_
_space_group_symop_operation_xyz
'x,y,z'
'-x,-y,-z'
'-x,y,-z'
'x,-y,z'
'x+1/2,y+1/2,z'
'-x+1/2,-y+1/2,-z'
'-x+1/2,y+1/2,-z'
'x+1/2,-y+1/2,z'
loop_
_atom_site_label
_atom_site_type_symbol
_atom_site_fract_x
_atom_site_fract_y
_atom_site_fract_z
_atom_site_occupancy
Ac1 Ac 0.013 0.238 0.307 1
Ac2 Ac 0.232 0.000 0.696 1
Ac3 Ac 0.234 0.500 0.697 1
Co1 Co 0.000 0.500 0.500 1
Co2 Co 0.250 0.250 0.500 1
N1 N 0.000 0.000 0.500 1
Cl1 Cl 0.000 0.000 0.000 1
Cl2 Cl 0.000 0.500 0.000 1
Cl3 Cl 0.250 0.250 0.000 1
```

Most intense lines, 2θ = 15–90°, in order of rising 2θ:
2θ 25.75, intensity 33, hkl 4 0 -2; 2θ 26.11, intensity 69, hkl 2 2 0; 2θ 28.75, intensity 58, hkl 4 0 0; 2θ 29.25, intensity 100, hkl 2 2 -2; 2θ 43.54, intensity 41, hkl 6 2 -2; 2θ 49.07, intensity 31, hkl 4 0 -5


# 8
Computed XRD peak list of Sn6HgPb for Cu Kα (weighted mean of Kα1 and Kα2), from a DFT-relaxed cell (PBE, Alexandria).

Atomic structure:
```
data_Sn6HgPb
_space_group_name_H-M_alt 'I m m m'
_space_group_IT_number 71
_space_group_name_Hall '-I 2 2'
_cell_length_a 6.312
_cell_length_b 6.339
_cell_length_c 11.244
_cell_angle_alpha 90.00
_cell_angle_beta 90.00
_cell_angle_gamma 90.00
loop_
_atom_site_label
_atom_site_type_symbol
_atom_site_fract_x
_atom_site_fract_y
_atom_site_fract_z
_atom_site_occupancy
Sn1 Sn 0.000 0.248 0.243 1
Sn2 Sn 0.250 0.000 0.500 1
Hg1 Hg 0.000 0.000 0.000 1
Pb1 Pb 0.000 0.500 0.500 1
```

Most intense lines, 2θ = 15–90°, in order of rising 2θ:
2θ 31.83, intensity 52, hkl 0 0 4; 2θ 32.43, intensity 100, hkl 0 2 2; 2θ 32.68, intensity 64, hkl 2 1 1; 2θ 39.96, intensity 38, hkl 2 1 3; 2θ 43.56, intensity 30, hkl 2 2 2; 2θ 68.49, intensity 25, hkl 4 2 2


# 9
Computed XRD peak list of Tm5HgBi2 for Cu Kα (weighted mean of Kα1 and Kα2), from a DFT-relaxed cell (PBE, Alexandria).

Atomic structure:
```
data_Tm5HgBi2
_space_group_name_H-M_alt 'C m c m'
_space_group_IT_number 63
_space_group_name_Hall '-C 2c 2'
_cell_length_a 5.704
_cell_length_b 11.676
_cell_length_c 14.247
_cell_angle_alpha 90.00
_cell_angle_beta 90.00
_cell_angle_gamma 90.00
loop_
_atom_site_label
_atom_site_type_symbol
_atom_site_fract_x
_atom_site_fract_y
_atom_site_fract_z
_atom_site_occupancy
Tm1 Tm 0.000 0.070 0.102 1
Tm2 Tm 0.000 0.380 0.050 1
Tm3 Tm 0.000 0.428 0.750 1
Hg1 Hg 0.000 0.283 0.250 1
Bi1 Bi 0.000 0.204 0.617 1
```

Most intense lines, 2θ = 15–90°, in order of rising 2θ:
2θ 30.56, intensity 48, hkl 1 1 4; 2θ 31.33, intensity 88, hkl 2 0 0; 2θ 33.66, intensity 100, hkl 1 3 3; 2θ 36.07, intensity 25, hkl 1 1 5; 2θ 44.88, intensity 23, hkl 2 4 1; 2θ 57.31, intensity 26, hkl 3 3 3


# 10
Computed XRD peak list of La2TbYTl2 for Cu Kα (weighted mean of Kα1 and Kα2), from a DFT-relaxed cell (PBE, Alexandria).

Atomic structure:
```
data_La2TbYTl2
_space_group_name_H-M_alt 'P m c 21'
_space_group_IT_number 26
_cell_length_a 5.120
_cell_length_b 10.336
_cell_length_c 6.971
_cell_angle_alpha 90.00
_cell_angle_beta 90.00
_cell_angle_gamma 90.00
loop_
_space_group_symop_operation_xyz
'x,y,z'
'-x,-y,z+1/2'
'-x,y,z'
'x,-y,z+1/2'
loop_
_atom_site_label
_atom_site_type_symbol
_atom_site_fract_x
_atom_site_fract_y
_atom_site_fract_z
_atom_site_occupancy
La1 La 0.000 0.060 0.000 1
La2 La 0.500 0.178 0.218 1
Tb1 Tb 0.000 0.307 0.577 1
Y1 Y 0.500 0.458 0.864 1
Tl1 Tl 0.000 0.389 0.125 1
Tl2 Tl 0.500 0.149 0.707 1
```

Most intense lines, 2θ = 15–90°, in order of rising 2θ:
2θ 25.56, intensity 29, hkl 0 0 2; 2θ 31.03, intensity 93, hkl 1 0 2; 2θ 31.29, intensity 100, hkl 1 3 0; 2θ 32.26, intensity 77, hkl 1 1 2; 2θ 33.90, intensity 61, hkl 1 3 1; 2θ 35.05, intensity 68, hkl 2 0 0


# 11
Computed XRD peak list of CsK3Hg8 for Cu Kα (weighted mean of Kα1 and Kα2), from a DFT-relaxed cell (PBE, Alexandria).

Atomic structure:
```
data_CsK3Hg8
_space_group_name_H-M_alt 'P 3 m 1'
_space_group_IT_number 156
_cell_length_a 6.5220
_cell_length_b 6.5220
_cell_length_c 10.8108
_cell_angle_alpha 90.00
_cell_angle_beta 90.00
_cell_angle_gamma 120.00
loop_
_space_group_symop_operation_xyz
'x,y,z'
'-y,x-y,z'
'-x+y,-x,z'
'-y,-x,z'
'-x+y,y,z'
'x,x-y,z'
loop_
_atom_site_label
_atom_site_type_symbol
_atom_site_fract_x
_atom_site_fract_y
_atom_site_fract_z
_atom_site_occupancy
Cs1 Cs 0.0000 0.0000 0.0000 1
K1 K 0.0000 0.0000 0.3802 1
K2 K 0.6667 0.3333 0.4998 1
K3 K 0.6667 0.3333 0.8696 1
Hg1 Hg 0.1637 0.3274 0.6817 1
Hg2 Hg 0.3333 0.6667 0.4313 1
Hg3 Hg 0.3333 0.6667 0.9362 1
Hg4 Hg 0.5058 0.0115 0.1925 1
```

Most intense lines, 2θ = 15–90°, in order of rising 2θ:
2θ 15.69, intensity 43, hkl 1 0 0; 2θ 29.40, intensity 34, hkl 1 0 3; 2θ 32.05, intensity 80, hkl 1 1 2; 2θ 32.78, intensity 100, hkl 2 0 1; 2θ 35.88, intensity 52, hkl 2 0 2; 2θ 53.37, intensity 33, hkl 0 2 5


# 12
Computed XRD peak list of Th2SbPb for Cu Kα (weighted mean of Kα1 and Kα2), from a DFT-relaxed cell (PBE, Alexandria).

Atomic structure:
```
data_Th2SbPb
_space_group_name_H-M_alt 'P 4/m m m'
_space_group_IT_number 123
_space_group_name_Hall '-P 4 2'
_cell_length_a 5.797
_cell_length_b 5.797
_cell_length_c 3.504
_cell_angle_alpha 90.00
_cell_angle_beta 90.00
_cell_angle_gamma 90.00
loop_
_atom_site_label
_atom_site_type_symbol
_atom_site_fract_x
_atom_site_fract_y
_atom_site_fract_z
_atom_site_occupancy
Th1 Th 0.000 0.500 0.000 1
Sb1 Sb 0.000 0.000 0.500 1
Pb1 Pb 0.500 0.500 0.500 1
```

Most intense lines, 2θ = 15–90°, in order of rising 2θ:
2θ 30.85, intensity 63, hkl 2 0 0; 2θ 33.65, intensity 100, hkl 1 1 1; 2θ 44.19, intensity 24, hkl 2 2 0; 2θ 56.67, intensity 46, hkl 3 1 1; 2θ 61.89, intensity 18, hkl 2 0 2; 2θ 70.75, intensity 12, hkl 2 2 2


Repeat the sixth record exactly.
Computed XRD peak list of MnIrW for Cu Kα (weighted mean of Kα1 and Kα2), from a DFT-relaxed cell (PBE, Alexandria).

Atomic structure:
```
data_MnIrW
_space_group_name_H-M_alt 'P 63/m m c'
_space_group_IT_number 194
_space_group_name_Hall '-P 6c 2c'
_cell_length_a 4.2385
_cell_length_b 4.2385
_cell_length_c 5.3842
_cell_angle_alpha 90.00
_cell_angle_beta 90.00
_cell_angle_gamma 120.00
loop_
_atom_site_label
_atom_site_type_symbol
_atom_site_fract_x
_atom_site_fract_y
_atom_site_fract_z
_atom_site_occupancy
Mn1 Mn 0.3333 0.6667 0.2500 1
Ir1 Ir 0.3333 0.6667 0.7500 1
W1 W 0.0000 0.0000 0.0000 1
```

Most intense lines, 2θ = 15–90°, in order of rising 2θ:
2θ 29.45, intensity 36, hkl 1 0 1; 2θ 41.60, intensity 100, hkl 1 0 2; 2θ 42.66, intensity 92, hkl 1 1 0; 2θ 61.11, intensity 32, hkl 2 0 2; 2θ 77.38, intensity 33, hkl 2 1 2; 2θ 85.45, intensity 25, hkl 1 1 4


What did the sixth record say?
Computed XRD peak list of MnIrW for Cu Kα (weighted mean of Kα1 and Kα2), from a DFT-relaxed cell (PBE, Alexandria).

Atomic structure:
```
data_MnIrW
_space_group_name_H-M_alt 'P 63/m m c'
_space_group_IT_number 194
_space_group_name_Hall '-P 6c 2c'
_cell_length_a 4.2385
_cell_length_b 4.2385
_cell_length_c 5.3842
_cell_angle_alpha 90.00
_cell_angle_beta 90.00
_cell_angle_gamma 120.00
loop_
_atom_site_label
_atom_site_type_symbol
_atom_site_fract_x
_atom_site_fract_y
_atom_site_fract_z
_atom_site_occupancy
Mn1 Mn 0.3333 0.6667 0.2500 1
Ir1 Ir 0.3333 0.6667 0.7500 1
W1 W 0.0000 0.0000 0.0000 1
```

Most intense lines, 2θ = 15–90°, in order of rising 2θ:
2θ 29.45, intensity 36, hkl 1 0 1; 2θ 41.60, intensity 100, hkl 1 0 2; 2θ 42.66, intensity 92, hkl 1 1 0; 2θ 61.11, intensity 32, hkl 2 0 2; 2θ 77.38, intensity 33, hkl 2 1 2; 2θ 85.45, intensity 25, hkl 1 1 4